For Ac5Si4, a DFT-relaxed cell (GGA-PBE, Alexandria) gives the calculated powder X-ray diffraction pattern in this record (copper Kα).
Peak positions follow from Bragg's law for the DFT cell and can differ from measured ones.

Peak list (6 most intense, 15° ≤ 2θ ≤ 90°, low angle first)
hkl 1 1 0, 2θ 20.6, I 53.5; hkl 2 0 -3, 2θ 26.3, I 66.6; hkl 2 0 2, 2θ 28.3, I 42.3; hkl 1 1 2, 2θ 29.4, I 95.4; hkl 3 1 -1, 2θ 29.5, I 100.0; hkl 4 0 -1, 2θ 30.2, I 39.6

Cell and atoms:
Lattice parameters (Å, degrees): 11.8919 4.6904 10.4886 90.00 110.91 90.00
Space group C2/m (No. 12)
Symmetry-distinct sites (fractional):
Ac1 0.0000 0.0000 0.0000
Ac2 0.1106 0.0000 0.3946
Ac3 0.2396 0.0000 0.8298
Si1 0.0419 0.5000 0.8136
Si2 0.0977 0.5000 0.6049